No. 1
Structure and computed powder diffraction line list of Ac4Cd2InAu (a PBE-relaxed structure; copper Kα).
No peak broadening, texture or thermal motion is included.

Atomic structure:
Cell: 5.7154 5.7154 27.8627 Å, 90.00 90.00 120.00°
Space group R-3m (No. 166, hexagonal axes)
Asymmetric unit:
Ac: 0.0000 0.0000 0.1202 [6 per cell]
Ac: 0.0000 0.0000 0.3707 [6 per cell]
Cd: 0.0000 0.0000 0.2450 [6 per cell]
In: 0.0000 0.0000 0.5000 [3 per cell]
Au: 0.0000 0.0000 0.0000 [3 per cell]

Top 10 peaks for 2θ from 5° to 70°, by angle:
2θ (°)	Rel. int.	hkl
22.0	12	1 0 4
31.3	100	1 1 0
31.4	95	0 1 8
43.1	4	1 1 9
44.9	36	2 0 8
55.8	58	3 0 0
56.0	16	1 0 16
59.4	3	0 1 17
65.3	12	2 2 0
65.5	10	0 2 16

No. 2
Structure and computed powder diffraction line list of Hf2Ni21B6 (a PBE-relaxed structure; copper Kα).
No peak broadening, texture or thermal motion is included.

Atomic structure:
Cell: 10.580 10.580 10.580 Å, 90.00 90.00 90.00°
Space group Fm-3m (No. 225)
Asymmetric unit:
Hf: 0.250 0.250 0.250 [8 per cell]
Ni: 0.000 0.000 0.000 [4 per cell]
Ni: 0.000 0.170 0.170 [48 per cell]
Ni: 0.114 0.114 0.386 [32 per cell]
B: 0.000 0.000 0.269 [24 per cell]

Top 10 peaks for 2θ from 5° to 70°, by angle:
2θ (°)	Rel. int.	hkl
16.8	22	2 0 0
23.8	19	2 2 0
38.0	78	4 2 0
41.8	72	4 2 2
44.5	100	3 3 3
48.7	39	4 4 0
51.1	26	5 3 1
54.9	13	6 2 0
57.8	22	6 2 2
66.1	7	6 4 2

No. 3
Structure and computed powder diffraction line list of Tl3SnAs2 (a PBE-relaxed structure; copper Kα).
No peak broadening, texture or thermal motion is included.

Atomic structure:
Cell: 4.274 9.008 10.231 Å, 75.16 78.02 76.47°
Space group P-1 (No. 2)
Asymmetric unit:
Tl: 0.050 0.127 0.273 [2 per cell]
Tl: 0.240 0.147 0.873 [2 per cell]
Tl: 0.374 0.230 0.525 [2 per cell]
Sn: 0.413 0.498 0.177 [2 per cell]
As: 0.164 0.524 0.646 [2 per cell]
As: 0.398 0.755 0.948 [2 per cell]

Top 10 peaks for 2θ from 5° to 70°, by angle:
2θ (°)	Rel. int.	hkl
25.9	84	1 2 1
26.1	19	1 0 2
27.1	22	0 1 3
30.6	100	0 2 -2
31.4	50	0 3 0
32.3	85	1 0 3
33.0	18	1 -2 0
33.1	18	1 3 1
37.1	27	1 2 -2
42.3	45	2 1 1

No. 4
Structure and computed powder diffraction line list of Tb6SmIn4 (a PBE-relaxed structure; copper Kα).
No peak broadening, texture or thermal motion is included.

Atomic structure:
Cell: 10.1640 10.1640 3.7104 Å, 90.00 90.00 120.00°
Space group P-6m2 (No. 187)
Asymmetric unit:
Tb: 0.1907 0.3814 0.0000 [3 per cell]
Tb: 0.5384 0.0768 0.5000 [3 per cell]
Sm: 0.0000 0.0000 0.5000 [1 per cell]
In: 0.3231 0.1615 0.0000 [3 per cell]
In: 0.3333 0.6667 0.5000 [1 per cell]

Top 10 peaks for 2θ from 5° to 70°, by angle:
2θ (°)	Rel. int.	hkl
26.8	24	2 1 0
29.8	29	1 1 1
30.5	38	3 0 0
31.5	100	2 0 1
35.3	66	2 2 0
36.3	47	2 1 1
49.1	16	0 0 2
51.5	15	3 2 1
58.0	17	5 0 1
61.9	26	2 2 2

Which formula does entry 1 have? Ac4Cd2InAu

Please write out number 2 again, unchanged.
Structure and computed powder diffraction line list of Hf2Ni21B6 (a PBE-relaxed structure; copper Kα).
No peak broadening, texture or thermal motion is included.

Atomic structure:
Cell: 10.580 10.580 10.580 Å, 90.00 90.00 90.00°
Space group Fm-3m (No. 225)
Asymmetric unit:
Hf: 0.250 0.250 0.250 [8 per cell]
Ni: 0.000 0.000 0.000 [4 per cell]
Ni: 0.000 0.170 0.170 [48 per cell]
Ni: 0.114 0.114 0.386 [32 per cell]
B: 0.000 0.000 0.269 [24 per cell]

Top 10 peaks for 2θ from 5° to 70°, by angle:
2θ (°)	Rel. int.	hkl
16.8	22	2 0 0
23.8	19	2 2 0
38.0	78	4 2 0
41.8	72	4 2 2
44.5	100	3 3 3
48.7	39	4 4 0
51.1	26	5 3 1
54.9	13	6 2 0
57.8	22	6 2 2
66.1	7	6 4 2

What is the formula in the first record? Ac4Cd2InAu